This entry pairs a crystal structure of CsCaCdCl5 with its simulated X-ray powder pattern. Radiation: λ = 1.5418 Å (Cu Kα). Structure: a cell relaxed with PBE.
No peak broadening, texture or thermal motion is included.

Structural model:
Cell: 7.910 7.910 10.170 Å, 103.62 103.62 106.49°
Positions (direct):
Cs: 0.163 0.837 0.750
Cs: 0.837 0.163 0.250
Ca: 0.500 0.500 0.000
Ca: 0.500 0.500 0.500
Cd: 0.189 0.811 0.250
Cd: 0.811 0.189 0.750
Cl: 0.126 0.263 0.928
Cl: 0.193 0.601 0.399
Cl: 0.263 0.126 0.428
Cl: 0.399 0.807 0.101
Cl: 0.434 0.566 0.750
Cl: 0.566 0.434 0.250
Cl: 0.601 0.193 0.899
Cl: 0.737 0.874 0.572
Cl: 0.807 0.399 0.601
Cl: 0.874 0.737 0.072

Most intense lines, 2θ from 15° to 90°, sorted by position:
19.0 deg, 4.672 Å, intensity 100.0
20.4 deg, 4.352 Å, intensity 79.2
21.7 deg, 4.087 Å, intensity 46.0
23.4 deg, 3.800 Å, intensity 77.7
23.7 deg, 3.762 Å, intensity 39.7
26.8 deg, 3.327 Å, intensity 33.8
27.6 deg, 3.234 Å, intensity 51.4
36.2 deg, 2.482 Å, intensity 45.3
37.6 deg, 2.392 Å, intensity 41.1
41.7 deg, 2.164 Å, intensity 30.3